[1]
This entry pairs a crystal structure of Pr2Zn3InCu4 with its theoretical XRD peak list. Radiation: CuKα. Structure: a crystal structure in Alexandria, relaxed with GGA-PBE.
Lines closer than 0.1° are merged.

Most intense lines, 10 to 90 degrees two-theta, low angle first:
Position (°2θ)	d [Å]	I_rel	index
32.43	2.761	49	1 0 3
34.64	2.590	100	1 1 2
43.74	2.070	48	2 0 0
46.36	1.959	26	1 0 5
55.49	1.656	21	2 1 3
74.47	1.274	20	3 1 2

Crystal structure
```
data_Pr2Zn3InCu4
_chemical_formula_sum 'Pr2 Zn3 In1 Cu4'
_symmetry_space_group_name_H-M 'P -4 m 2'
_symmetry_Int_Tables_number 115
_cell_length_a 4.1393
_cell_length_b 4.1393
_cell_length_c 11.1167
_cell_angle_alpha 90.00
_cell_angle_beta 90.00
_cell_angle_gamma 90.00
loop_
_symmetry_equiv_pos_as_xyz
'x,y,z'
'y,-x,-z'
'-x,-y,z'
'-y,x,-z'
'-x,y,z'
'-y,-x,-z'
'x,-y,z'
'y,x,-z'
loop_
_atom_site_label
_atom_site_fract_x
_atom_site_fract_y
_atom_site_fract_z
Pr1 0.0000 0.5000 0.2383
Zn1 0.0000 0.5000 0.8747
Zn2 0.5000 0.5000 0.5000
In1 0.0000 0.0000 0.5000
Cu1 0.0000 0.0000 0.0000
Cu2 0.0000 0.5000 0.6514
Cu3 0.5000 0.5000 0.0000
```

=====

[2]
This entry pairs a crystal structure of InCu2Pt7 with its theoretical XRD peak list. Radiation: CuKα. Structure: a crystal structure in Alexandria, relaxed with GGA-PBE.
Lines closer than 0.1° are merged.

Most intense lines, 10 to 90 degrees two-theta, low angle first:
Position (°2θ)	d [Å]	I_rel	index
20.54	4.324	51	0 0 1
25.03	3.558	50	0 2 1
38.11	2.361	65	2 4 0
41.78	2.162	60	0 0 2
43.52	2.080	100	1 5 1
43.93	2.061	81	3 1 1

Crystal structure
```
data_InCu2Pt7
_chemical_formula_sum 'In2 Cu4 Pt14'
_symmetry_space_group_name_H-M 'C m m m'
_symmetry_Int_Tables_number 65
_symmetry_space_group_name_Hall '-C 2 2'
_cell_length_a 7.1587
_cell_length_b 12.5696
_cell_length_c 4.3245
_cell_angle_alpha 90.00
_cell_angle_beta 90.00
_cell_angle_gamma 90.00
loop_
_atom_site_label
_atom_site_fract_x
_atom_site_fract_y
_atom_site_fract_z
In1 0.0000 0.0000 0.0000
Cu1 0.0000 0.3006 0.5000
Pt1 0.0000 0.2053 0.0000
Pt2 0.0000 0.5000 0.5000
Pt3 0.1880 0.1127 0.5000
```

=====

[3]
This entry pairs a crystal structure of In2CuPt with its theoretical XRD peak list. Radiation: CuKα. Structure: a crystal structure in Alexandria, relaxed with GGA-PBE.
Lines closer than 0.1° are merged.

Most intense lines, 10 to 90 degrees two-theta, low angle first:
Position (°2θ)	d [Å]	I_rel	index
33.87	2.646	97	1 1 0
34.10	2.629	100	1 1 -1
41.98	2.152	73	0 1 2
42.50	2.127	60	1 1 1
42.69	2.118	60	0 2 0
43.06	2.100	53	1 1 -2

Crystal structure
```
data_In2CuPt
_chemical_formula_sum 'In2 Cu1 Pt1'
_symmetry_space_group_name_H-M 'P 1 m 1'
_symmetry_Int_Tables_number 6
_cell_length_a 3.5814
_cell_length_b 4.2360
_cell_length_c 5.2802
_cell_angle_alpha 90.00
_cell_angle_beta 108.86
_cell_angle_gamma 90.00
loop_
_symmetry_equiv_pos_as_xyz
'x,y,z'
'x,-y,z'
loop_
_atom_site_label
_atom_site_fract_x
_atom_site_fract_y
_atom_site_fract_z
In1 0.0000 0.0000 0.0000
In2 0.2844 0.5000 0.5926
Cu1 0.7259 0.0000 0.4585
Pt1 0.5682 0.5000 0.1487
```

=====

[4]
This entry pairs a crystal structure of In3CuPt3 with its theoretical XRD peak list. Radiation: CuKα. Structure: a crystal structure in Alexandria, relaxed with GGA-PBE.
Lines closer than 0.1° are merged.

Most intense lines, 10 to 90 degrees two-theta, low angle first:
Position (°2θ)	d [Å]	I_rel	index
19.59	4.531	34	1 1 0
39.48	2.283	100	2 0 2
39.78	2.266	98	2 2 0
57.29	1.608	33	0 4 2
71.39	1.321	17	0 2 4
72.01	1.311	34	4 2 2

Crystal structure
```
data_In3CuPt3
_chemical_formula_sum 'In9 Cu3 Pt9'
_symmetry_space_group_name_H-M 'R -3 m'
_symmetry_Int_Tables_number 166
_symmetry_space_group_name_Hall '-R 3 2"'
_cell_length_a 9.0629
_cell_length_b 9.0629
_cell_length_c 5.6124
_cell_angle_alpha 90.00
_cell_angle_beta 90.00
_cell_angle_gamma 120.00
loop_
_atom_site_label
_atom_site_fract_x
_atom_site_fract_y
_atom_site_fract_z
In1 0.0000 0.5000 0.0000
Cu1 0.0000 0.0000 0.0000
Pt1 0.0000 0.5000 0.5000
```

=====

[5]
This entry pairs a crystal structure of In2Cu7Sn2Pt with its theoretical XRD peak list. Radiation: CuKα. Structure: a crystal structure in Alexandria, relaxed with GGA-PBE.
Lines closer than 0.1° are merged.

Most intense lines, 10 to 90 degrees two-theta, low angle first:
Position (°2θ)	d [Å]	I_rel	index
28.02	3.184	59	1 1 2
28.66	3.115	58	1 1 -3
34.97	2.566	50	2 0 -1
39.19	2.299	100	1 1 5
40.27	2.239	56	1 1 -6
50.47	1.808	83	2 2 -1

Crystal structure
```
data_In2Cu7Sn2Pt
_chemical_formula_sum 'In4 Cu14 Sn4 Pt2'
_symmetry_space_group_name_H-M 'C 1 2/m 1'
_symmetry_Int_Tables_number 12
_cell_length_a 5.1295
_cell_length_b 5.1027
_cell_length_c 16.1314
_cell_angle_alpha 90.00
_cell_angle_beta 97.05
_cell_angle_gamma 90.00
loop_
_symmetry_equiv_pos_as_xyz
'x,y,z'
'-x,-y,-z'
'-x,y,-z'
'x,-y,z'
'x+1/2,y+1/2,z'
'-x+1/2,-y+1/2,-z'
'-x+1/2,y+1/2,-z'
'x+1/2,-y+1/2,z'
loop_
_atom_site_label
_atom_site_fract_x
_atom_site_fract_y
_atom_site_fract_z
In1 0.0947 0.0000 0.2535
Cu1 0.0000 0.0000 0.0000
Cu2 0.1927 0.0000 0.4556
Cu3 0.2047 0.2506 0.8789
Sn1 0.1538 0.5000 0.3796
Pt1 0.0000 0.5000 0.0000
```

=====

[6]
This entry pairs a crystal structure of Pu3InCu8 with its theoretical XRD peak list. Radiation: CuKα. Structure: a crystal structure in Alexandria, relaxed with GGA-PBE.
Lines closer than 0.1° are merged.

Most intense lines, 10 to 90 degrees two-theta, low angle first:
Position (°2θ)	d [Å]	I_rel	index
20.94	4.242	23	0 0 6
34.53	2.598	71	1 1 0
40.73	2.215	100	1 1 6
61.86	1.500	27	3 0 0
66.08	1.414	31	3 0 6
72.82	1.299	22	2 2 0

Crystal structure
```
data_Pu3InCu8
_chemical_formula_sum 'Pu9 In3 Cu24'
_symmetry_space_group_name_H-M 'R 3 m'
_symmetry_Int_Tables_number 160
_symmetry_space_group_name_Hall 'R 3 -2"'
_cell_length_a 5.1955
_cell_length_b 5.1955
_cell_length_c 25.4502
_cell_angle_alpha 90.00
_cell_angle_beta 90.00
_cell_angle_gamma 120.00
loop_
_atom_site_label
_atom_site_fract_x
_atom_site_fract_y
_atom_site_fract_z
Pu1 0.0000 0.0000 0.0000
Pu2 0.0000 0.0000 0.1239
Pu3 0.0000 0.0000 0.6272
In1 0.0000 0.0000 0.5006
Cu1 0.0000 0.0000 0.3126
Cu2 0.0000 0.0000 0.8132
Cu3 0.0007 0.5003 0.5614
Cu4 0.0033 0.5016 0.0641
```